No. 1
Simulated powder XRD pattern
Compound: La16Pr7Y6
Radiation: λ = 1.5418 Å (Cu Kα)
Structure: a structure optimized by DFT (PBE)
Kinematic intensities with the Lorentz-polarization factor, no thermal factor.

```
data_La16Pr7Y6
_space_group_name_H-M_alt 'F m -3 m'
_space_group_IT_number 225
_space_group_name_Hall '-F 4 2 3'
_cell_length_a 16.1807
_cell_length_b 16.1807
_cell_length_c 16.1807
_cell_angle_alpha 90.00
_cell_angle_beta 90.00
_cell_angle_gamma 90.00
loop_
_atom_site_label
_atom_site_type_symbol
_atom_site_fract_x
_atom_site_fract_y
_atom_site_fract_z
La1 La 0.1210 0.1210 0.1210
La2 La 0.1553 0.1553 0.3447
Pr1 Pr 0.0000 0.0000 0.0000
Pr2 Pr 0.0000 0.2500 0.2500
Y1 Y 0.0000 0.0000 0.2926
```

Most intense lines, 2θ = 10–80°, by angle:
Position (°2θ), I (rel.), (hkl)
28.67, 26, 3 3 3
31.27, 100, 4 4 0
32.74, 12, 5 3 1
36.85, 10, 6 2 2
42.93, 9, 7 3 1
44.81, 12, 8 0 0
51.45, 9, 7 5 3
55.66, 20, 8 4 4
56.60, 10, 9 3 3
79.20, 9, 13 3 1

No. 2
Simulated powder XRD pattern
Compound: La5Pr5Y2
Radiation: λ = 1.5418 Å (Cu Kα)
Structure: a structure optimized by DFT (PBE)
Kinematic intensities with the Lorentz-polarization factor, no thermal factor.

```
data_La5Pr5Y2
_space_group_name_H-M_alt 'C 1 2/m 1'
_space_group_IT_number 12
_space_group_name_Hall '-C 2y'
_cell_length_a 15.7657
_cell_length_b 5.2336
_cell_length_c 11.6957
_cell_angle_alpha 90.00
_cell_angle_beta 116.71
_cell_angle_gamma 90.00
loop_
_atom_site_label
_atom_site_type_symbol
_atom_site_fract_x
_atom_site_fract_y
_atom_site_fract_z
La1 La 0.0000 0.0000 0.0000
La2 La 0.0825 0.0000 0.7492
La3 La 0.1664 0.0000 0.5009
Pr1 Pr 0.0000 0.5000 0.5000
Pr2 Pr 0.1662 0.5000 0.9999
Pr3 Pr 0.2483 0.0000 0.2487
Y1 Y 0.0837 0.5000 0.2497
```

Most intense lines, 2θ = 10–80°, by angle:
Position (°2θ), I (rel.), (hkl)
29.54, 100, 3 1 1
34.12, 17, 6 0 -2
34.30, 34, 0 2 0
49.16, 24, 6 0 2
49.29, 12, 0 2 4
58.29, 14, 9 1 -1
58.52, 29, 3 3 1
61.31, 12, 6 2 2
79.72, 6, 9 3 -1
79.79, 6, 9 1 -9

No. 3
Simulated powder XRD pattern
Compound: La11Pr4Y9
Radiation: λ = 1.5418 Å (Cu Kα)
Structure: a structure optimized by DFT (PBE)
Kinematic intensities with the Lorentz-polarization factor, no thermal factor.

```
data_La11Pr4Y9
_space_group_name_H-M_alt 'C m m m'
_space_group_IT_number 65
_space_group_name_Hall '-C 2 2'
_cell_length_a 17.2853
_cell_length_b 26.0963
_cell_length_c 3.7716
_cell_angle_alpha 90.00
_cell_angle_beta 90.00
_cell_angle_gamma 90.00
loop_
_atom_site_label
_atom_site_type_symbol
_atom_site_fract_x
_atom_site_fract_y
_atom_site_fract_z
La1 La 0.0000 0.0000 0.0000
La2 La 0.0000 0.1584 0.0000
La3 La 0.0000 0.3669 0.0000
La4 La 0.2091 0.5000 0.0000
La5 La 0.2273 0.1812 0.0000
Pr1 Pr 0.1551 0.3995 0.5000
Y1 Y 0.0000 0.5000 0.5000
Y2 Y 0.1008 0.2643 0.5000
Y3 Y 0.1385 0.0732 0.5000
```

Most intense lines, 2θ = 10–80°, by angle:
Position (°2θ), I (rel.), (hkl)
29.13, 49, 4 6 0
29.25, 25, 2 4 1
30.13, 16, 3 3 1
31.28, 10, 1 9 0
31.44, 100, 4 0 1
33.16, 12, 3 5 1
48.26, 12, 0 0 2
53.22, 9, 6 10 1
56.59, 8, 9 5 1
57.37, 19, 4 6 2

No. 4
Simulated powder XRD pattern
Compound: La3Pr8Y3
Radiation: λ = 1.5418 Å (Cu Kα)
Structure: a structure optimized by DFT (PBE)
Kinematic intensities with the Lorentz-polarization factor, no thermal factor.

```
data_La3Pr8Y3
_space_group_name_H-M_alt 'I m m m'
_space_group_IT_number 71
_space_group_name_Hall '-I 2 2'
_cell_length_a 5.7921
_cell_length_b 11.0330
_cell_length_c 15.6840
_cell_angle_alpha 90.00
_cell_angle_beta 90.00
_cell_angle_gamma 90.00
loop_
_atom_site_label
_atom_site_type_symbol
_atom_site_fract_x
_atom_site_fract_y
_atom_site_fract_z
La1 La 0.0000 0.0000 0.0000
La2 La 0.0000 0.3080 0.0000
Pr1 Pr 0.0000 0.1572 0.2251
Pr2 Pr 0.0000 0.3364 0.3959
Y1 Y 0.0000 0.0000 0.5000
Y2 Y 0.0000 0.5000 0.1845
```

Most intense lines, 2θ = 10–80°, by angle:
Position (°2θ), I (rel.), (hkl)
28.67, 35, 1 1 4
29.69, 33, 0 3 3
30.88, 51, 2 0 0
30.98, 100, 1 3 2
32.46, 59, 1 0 5
43.37, 23, 2 3 3
49.56, 13, 0 6 0
54.98, 20, 3 3 2
59.55, 13, 2 6 0
60.50, 18, 1 6 5

No. 5
Simulated powder XRD pattern
Compound: LaPr10Y6
Radiation: λ = 1.5418 Å (Cu Kα)
Structure: a structure optimized by DFT (PBE)
Kinematic intensities with the Lorentz-polarization factor, no thermal factor.

```
data_LaPr10Y6
_space_group_name_H-M_alt 'P -3 1 m'
_space_group_IT_number 162
_space_group_name_Hall '-P 3 2'
_cell_length_a 9.9858
_cell_length_b 9.9858
_cell_length_c 7.0001
_cell_angle_alpha 90.00
_cell_angle_beta 90.00
_cell_angle_gamma 120.00
loop_
_atom_site_label
_atom_site_type_symbol
_atom_site_fract_x
_atom_site_fract_y
_atom_site_fract_z
La1 La 0.0000 0.0000 0.0000
Pr1 Pr 0.0000 0.2791 0.3245
Pr2 Pr 0.3333 0.6667 0.0000
Pr3 Pr 0.3333 0.6667 0.5000
Y1 Y 0.0000 0.3666 0.8172
```

Most intense lines, 2θ = 10–80°, by angle:
Position (°2θ), I (rel.), (hkl)
24.19, 9, 2 0 1
30.18, 35, 3 -1 1
31.02, 80, 3 0 0
31.21, 100, 1 1 2
44.58, 28, 4 -2 2
47.64, 14, 3 2 1
55.30, 20, 4 1 2
55.65, 18, 2 -1 4
61.12, 11, 6 -1 1
73.56, 9, 7 -2 2

No. 6
Simulated powder XRD pattern
Compound: La5Pr2Y6
Radiation: λ = 1.5418 Å (Cu Kα)
Structure: a structure optimized by DFT (PBE)
Kinematic intensities with the Lorentz-polarization factor, no thermal factor.

```
data_La5Pr2Y6
_space_group_name_H-M_alt 'P b a m'
_space_group_IT_number 55
_space_group_name_Hall '-P 2 2ab'
_cell_length_a 11.8989
_cell_length_b 20.9963
_cell_length_c 3.6538
_cell_angle_alpha 90.00
_cell_angle_beta 90.00
_cell_angle_gamma 90.00
loop_
_atom_site_label
_atom_site_type_symbol
_atom_site_fract_x
_atom_site_fract_y
_atom_site_fract_z
La1 La 0.0000 0.0000 0.0000
La2 La 0.0802 0.2749 0.0000
La3 La 0.2034 0.5472 0.0000
Pr1 Pr 0.1735 0.7129 0.5000
Y1 Y 0.0590 0.4206 0.5000
Y2 Y 0.0771 0.1324 0.5000
Y3 Y 0.1810 0.8661 0.0000
```

Most intense lines, 2θ = 10–80°, by angle:
Position (°2θ), I (rel.), (hkl)
26.55, 19, 1 6 0
29.93, 20, 2 2 1
30.35, 55, 4 1 0
30.74, 100, 1 7 0
31.01, 18, 3 5 0
31.45, 74, 2 3 1
33.46, 33, 2 4 1
34.17, 22, 3 6 0
35.79, 32, 3 3 1
49.92, 19, 0 0 2

No. 7
Simulated powder XRD pattern
Compound: La6Pr8Y
Radiation: λ = 1.5418 Å (Cu Kα)
Structure: a structure optimized by DFT (PBE)
Kinematic intensities with the Lorentz-polarization factor, no thermal factor.

```
data_La6Pr8Y
_space_group_name_H-M_alt 'R -3'
_space_group_IT_number 148
_space_group_name_Hall '-R 3'
_cell_length_a 10.0361
_cell_length_b 10.0361
_cell_length_c 18.8857
_cell_angle_alpha 90.00
_cell_angle_beta 90.00
_cell_angle_gamma 120.00
loop_
_atom_site_label
_atom_site_type_symbol
_atom_site_fract_x
_atom_site_fract_y
_atom_site_fract_z
La1 La 0.0208 0.7811 0.4053
Pr1 Pr 0.0000 0.0000 0.2277
Pr2 Pr 0.0437 0.7628 0.9020
Y1 Y 0.0000 0.0000 0.0000
```

Most intense lines, 2θ = 10–80°, by angle:
Position (°2θ), I (rel.), (hkl)
28.35, 30, 0 0 6
28.77, 100, 1 2 2
30.86, 14, 3 0 0
33.22, 71, 3 -1 4
33.61, 16, 1 1 6
47.42, 20, 1 2 8
47.97, 19, 4 1 0
56.66, 13, 5 -4 6
56.91, 13, 6 -2 2
59.60, 10, 2 4 4

No. 8
Simulated powder XRD pattern
Compound: La2Pr7Y2
Radiation: λ = 1.5418 Å (Cu Kα)
Structure: a structure optimized by DFT (PBE)
Kinematic intensities with the Lorentz-polarization factor, no thermal factor.

```
data_La2Pr7Y2
_space_group_name_H-M_alt 'C 1 2/m 1'
_space_group_IT_number 12
_space_group_name_Hall '-C 2y'
_cell_length_a 11.7805
_cell_length_b 11.7066
_cell_length_c 6.2297
_cell_angle_alpha 90.00
_cell_angle_beta 112.34
_cell_angle_gamma 90.00
loop_
_atom_site_label
_atom_site_type_symbol
_atom_site_fract_x
_atom_site_fract_y
_atom_site_fract_z
La1 La 0.0755 0.0000 0.3048
Pr1 Pr 0.0000 0.5000 0.5000
Pr2 Pr 0.1816 0.2698 0.6773
Pr3 Pr 0.2289 0.5000 0.0946
Y1 Y 0.0000 0.2849 0.0000
```

Most intense lines, 2θ = 10–80°, by angle:
Position (°2θ), I (rel.), (hkl)
24.69, 26, 3 1 -1
29.03, 11, 2 0 -2
29.90, 32, 1 1 -2
30.53, 77, 0 4 0
30.61, 100, 2 2 1
32.92, 70, 3 3 -1
42.16, 11, 5 1 0
43.71, 16, 4 4 -1
48.80, 14, 1 5 -2
54.33, 13, 2 6 1

No. 9
Simulated powder XRD pattern
Compound: LaPr4Y4
Radiation: λ = 1.5418 Å (Cu Kα)
Structure: a structure optimized by DFT (PBE)
Kinematic intensities with the Lorentz-polarization factor, no thermal factor.

```
data_LaPr4Y4
_space_group_name_H-M_alt 'I 4/m m m'
_space_group_IT_number 139
_space_group_name_Hall '-I 4 2'
_cell_length_a 10.9698
_cell_length_b 10.9698
_cell_length_c 5.1629
_cell_angle_alpha 90.00
_cell_angle_beta 90.00
_cell_angle_gamma 90.00
loop_
_atom_site_label
_atom_site_type_symbol
_atom_site_fract_x
_atom_site_fract_y
_atom_site_fract_z
La1 La 0.0000 0.0000 0.0000
Pr1 Pr 0.0000 0.3320 0.0000
Y1 Y 0.1673 0.1673 0.5000
```

Most intense lines, 2θ = 10–80°, by angle:
Position (°2θ), I (rel.), (hkl)
16.16, 1, 2 0 0
19.00, 3, 1 0 1
25.68, 1, 3 1 0
29.94, 100, 3 0 1
34.71, 50, 3 3 0
49.91, 36, 6 0 0
59.30, 42, 6 3 1
62.22, 12, 6 0 2
73.21, 4, 6 6 0
73.35, 2, 0 0 4

No. 10
Simulated powder XRD pattern
Compound: La4Pr3Y
Radiation: λ = 1.5418 Å (Cu Kα)
Structure: a structure optimized by DFT (PBE)
Kinematic intensities with the Lorentz-polarization factor, no thermal factor.

```
data_La4Pr3Y
_space_group_name_H-M_alt 'P m n 21'
_space_group_IT_number 31
_space_group_name_Hall 'P 2ac -2'
_cell_length_a 12.0278
_cell_length_b 7.4939
_cell_length_c 6.4689
_cell_angle_alpha 90.00
_cell_angle_beta 90.00
_cell_angle_gamma 90.00
loop_
_atom_site_label
_atom_site_type_symbol
_atom_site_fract_x
_atom_site_fract_y
_atom_site_fract_z
La1 La 0.0000 0.1252 0.0000
La2 La 0.0000 0.6278 0.9952
La3 La 0.2466 0.1247 0.6654
Pr1 Pr 0.0000 0.8742 0.4924
Pr2 Pr 0.2497 0.3763 0.1612
Y1 Y 0.0000 0.3768 0.4977
```

Most intense lines, 2θ = 10–80°, by angle:
Position (°2θ), I (rel.), (hkl)
27.53, 24, 0 2 1
29.71, 26, 4 0 0
31.36, 100, 2 0 2
40.95, 16, 4 2 1
48.60, 7, 0 4 0
48.72, 13, 0 2 3
53.77, 22, 6 0 2
58.00, 8, 4 4 0
58.11, 15, 4 2 3
59.01, 11, 2 4 2

No. 11
Simulated powder XRD pattern
Compound: La8PrY5
Radiation: λ = 1.5418 Å (Cu Kα)
Structure: a structure optimized by DFT (PBE)
Kinematic intensities with the Lorentz-polarization factor, no thermal factor.

```
data_La8PrY5
_space_group_name_H-M_alt 'I -4'
_space_group_IT_number 82
_space_group_name_Hall 'I -4'
_cell_length_a 9.8034
_cell_length_b 9.8034
_cell_length_c 10.5602
_cell_angle_alpha 90.00
_cell_angle_beta 90.00
_cell_angle_gamma 90.00
loop_
_atom_site_label
_atom_site_type_symbol
_atom_site_fract_x
_atom_site_fract_y
_atom_site_fract_z
La1 La 0.0683 0.1696 0.3476
La2 La 0.0941 0.3159 0.0001
Pr1 Pr 0.0000 0.0000 0.0000
Y1 Y 0.0000 0.5000 0.2500
Y2 Y 0.1095 0.3010 0.6759
```

Most intense lines, 2θ = 10–80°, by angle:
Position (°2θ), I (rel.), (hkl)
21.95, 29, 1 2 1
26.91, 80, 1 0 3
28.59, 72, 3 0 1
28.80, 81, 1 3 0
30.86, 28, 2 2 2
32.62, 100, 2 1 3
33.52, 63, 1 3 2
34.05, 60, 3 2 1
54.40, 25, 4 2 4
60.49, 23, 1 3 6